# 1
Simulated powder XRD pattern of Sc2MnS4 for Cu Kα, 1.54184 Å, from a DFT-relaxed cell (PBE, the Materials Project).
Intensities are scaled so that the largest is 100.

Peak list (10 most intense, 10 to 80 degrees two-theta, most intense first)
2θ = 48.5°, rel. 100; 2θ = 27.9°, rel. 94; 2θ = 33.8°, rel. 55; 2θ = 44.4°, rel. 42; 2θ = 23.7°, rel. 34; 2θ = 67.8°, rel. 16; 2θ = 71.1°, rel. 14; 2θ = 41.7°, rel. 14; 2θ = 60.4°, rel. 11; 2θ = 56.9°, rel. 11

Cell and atoms:
```
Sc2MnS4
1.0
0.0000 5.3065 5.3065
5.3065 0.0000 5.3065
5.3065 5.3065 0.0000
Sc Mn S
4 2 8
Direct
0.0000 0.0000 0.0000
0.0000 0.0000 0.5000
0.0000 0.5000 0.0000
0.5000 0.0000 0.0000
0.3750 0.3750 0.3750
0.6250 0.6250 0.6250
0.2320 0.7560 0.7560
0.2440 0.2440 0.2440
0.2440 0.2440 0.7680
0.2440 0.7680 0.2440
0.7560 0.2320 0.7560
0.7560 0.7560 0.2320
0.7560 0.7560 0.7560
0.7680 0.2440 0.2440
```

***

# 2
Simulated powder XRD pattern of MgAg4O6 for Cu Kα, 1.54184 Å, from a DFT-relaxed cell (PBE, the Materials Project).
Intensities are scaled so that the largest is 100.

Peak list (10 most intense, 10 to 80 degrees two-theta, most intense first)
2θ = 32.8°, rel. 100; 2θ = 30.9°, rel. 95; 2θ = 35.3°, rel. 86; 2θ = 30.7°, rel. 78; 2θ = 31.6°, rel. 73; 2θ = 26.0°, rel. 56; 2θ = 26.1°, rel. 55; 2θ = 23.8°, rel. 50; 2θ = 25.3°, rel. 50; 2θ = 22.8°, rel. 42

Cell and atoms:
```
MgAg4O6
1.0
4.0670 0.0000 0.0000
1.1561 5.4581 0.0000
1.4974 0.0408 6.8643
Mg Ag O
1 4 6
Direct
0.0000 0.0000 0.0000
0.2969 0.4479 0.6214
0.3880 0.9807 0.3114
0.5816 0.9072 0.7522
0.7887 0.5020 0.1482
0.1300 0.1343 0.7182
0.1490 0.7533 0.1972
0.4843 0.1152 0.0179
0.5569 0.7174 0.5173
0.6191 0.2507 0.3873
0.9717 0.6654 0.8499
```

***

# 3
Simulated powder XRD pattern of SrYMg14O16 for Cu Kα, 1.54184 Å, from a DFT-relaxed cell (PBE, the Materials Project).
Intensities are scaled so that the largest is 100.

Peak list (10 most intense, 10 to 80 degrees two-theta, most intense first)
2θ = 40.9°, rel. 100; 2θ = 58.7°, rel. 60; 2θ = 40.2°, rel. 54; 2θ = 35.0°, rel. 37; 2θ = 59.2°, rel. 29; 2θ = 74.0°, rel. 27; 2θ = 14.2°, rel. 23; 2θ = 24.5°, rel. 21; 2θ = 20.1°, rel. 17; 2θ = 32.1°, rel. 14

Cell and atoms:
```
SrYMg14O16
1.0
8.8245 0.0000 0.0000
0.0000 8.8245 0.0000
0.0000 0.0000 4.4817
Sr Y Mg O
1 1 14 16
Direct
0.0000 0.0000 0.0000
0.5000 0.5000 0.0000
0.0000 0.2575 0.5000
0.0000 0.5000 0.0000
0.0000 0.7425 0.5000
0.2381 0.5000 0.5000
0.2481 0.2481 0.0000
0.2481 0.7519 0.0000
0.2575 0.0000 0.5000
0.5000 0.0000 0.0000
0.5000 0.2381 0.5000
0.5000 0.7619 0.5000
0.7425 0.0000 0.5000
0.7519 0.2481 0.0000
0.7519 0.7519 0.0000
0.7619 0.5000 0.5000
0.0000 0.0000 0.5000
0.0000 0.2706 0.0000
0.0000 0.5000 0.5000
0.0000 0.7294 0.0000
0.2445 0.5000 0.0000
0.2498 0.2498 0.5000
0.2498 0.7502 0.5000
0.2706 0.0000 0.0000
0.5000 0.0000 0.5000
0.5000 0.2445 0.0000
0.5000 0.5000 0.5000
0.5000 0.7555 0.0000
0.7294 0.0000 0.0000
0.7502 0.2498 0.5000
0.7502 0.7502 0.5000
0.7555 0.5000 0.0000
```

***

Please write out number 3 again, unchanged.
Simulated powder XRD pattern of SrYMg14O16 for Cu Kα, 1.54184 Å, from a DFT-relaxed cell (PBE, the Materials Project).
Intensities are scaled so that the largest is 100.

Peak list (10 most intense, 10 to 80 degrees two-theta, most intense first)
2θ = 40.9°, rel. 100; 2θ = 58.7°, rel. 60; 2θ = 40.2°, rel. 54; 2θ = 35.0°, rel. 37; 2θ = 59.2°, rel. 29; 2θ = 74.0°, rel. 27; 2θ = 14.2°, rel. 23; 2θ = 24.5°, rel. 21; 2θ = 20.1°, rel. 17; 2θ = 32.1°, rel. 14

Cell and atoms:
```
SrYMg14O16
1.0
8.8245 0.0000 0.0000
0.0000 8.8245 0.0000
0.0000 0.0000 4.4817
Sr Y Mg O
1 1 14 16
Direct
0.0000 0.0000 0.0000
0.5000 0.5000 0.0000
0.0000 0.2575 0.5000
0.0000 0.5000 0.0000
0.0000 0.7425 0.5000
0.2381 0.5000 0.5000
0.2481 0.2481 0.0000
0.2481 0.7519 0.0000
0.2575 0.0000 0.5000
0.5000 0.0000 0.0000
0.5000 0.2381 0.5000
0.5000 0.7619 0.5000
0.7425 0.0000 0.5000
0.7519 0.2481 0.0000
0.7519 0.7519 0.0000
0.7619 0.5000 0.5000
0.0000 0.0000 0.5000
0.0000 0.2706 0.0000
0.0000 0.5000 0.5000
0.0000 0.7294 0.0000
0.2445 0.5000 0.0000
0.2498 0.2498 0.5000
0.2498 0.7502 0.5000
0.2706 0.0000 0.0000
0.5000 0.0000 0.5000
0.5000 0.2445 0.0000
0.5000 0.5000 0.5000
0.5000 0.7555 0.0000
0.7294 0.0000 0.0000
0.7502 0.2498 0.5000
0.7502 0.7502 0.5000
0.7555 0.5000 0.0000
```